1.
The following is a calculated powder X-ray diffraction pattern of Er4CoTe. It was derived from a GGA-PBE-relaxed structure, using a wavelength of 1.5418 Å.
No peak broadening, texture or thermal motion is included.

```
data_Er4CoTe
_space_group_name_H-M_alt 'P n m a'
_space_group_IT_number 62
_cell_length_a 8.1490
_cell_length_b 3.8446
_cell_length_c 19.2160
_cell_angle_alpha 90.00
_cell_angle_beta 90.00
_cell_angle_gamma 90.00
loop_
_space_group_symop_operation_xyz
'x,y,z'
'-x,-y,-z'
'-x+1/2,-y,z+1/2'
'x+1/2,y,-z+1/2'
'x+1/2,-y+1/2,-z+1/2'
'-x+1/2,y+1/2,z+1/2'
'-x,y+1/2,-z'
'x,-y+1/2,z'
loop_
_atom_site_label
_atom_site_type_symbol
_atom_site_fract_x
_atom_site_fract_y
_atom_site_fract_z
Er1 Er 0.0161 0.2500 0.0673
Er2 Er 0.0451 0.7500 0.2156
Er3 Er 0.1380 0.7500 0.6452
Er4 Er 0.1444 0.7500 0.4543
Co1 Co 0.2366 0.2500 0.5506
Te1 Te 0.2448 0.2500 0.3131
```

The 10 most intense peaks (5° ≤ 2θ ≤ 70°), in order of falling intensity:
- 31.77 deg, 2.817 Å, rel. 100, hkl 1 1 4
- 32.01 deg, 2.796 Å, rel. 69, hkl 2 0 5
- 35.01 deg, 2.563 Å, rel. 59, hkl 2 1 3
- 33.31 deg, 2.690 Å, rel. 40, hkl 3 0 1
- 47.29 deg, 1.922 Å, rel. 35, hkl 0 2 0
- 32.95 deg, 2.718 Å, rel. 33, hkl 0 1 5
- 34.48 deg, 2.602 Å, rel. 30, hkl 1 0 7
- 58.25 deg, 1.584 Å, rel. 19, hkl 2 2 5
- 39.87 deg, 2.261 Å, rel. 18, hkl 2 1 5
- 38.06 deg, 2.365 Å, rel. 17, hkl 3 0 4

***

2.
The following is a calculated powder X-ray diffraction pattern of CsMgAsH6O4. It was derived from a GGA-PBE-relaxed structure, using a wavelength of 1.5418 Å.
No peak broadening, texture or thermal motion is included.

```
data_CsMgAsH6O4
_space_group_name_H-M_alt 'F -4 3 m'
_space_group_IT_number 216
_space_group_name_Hall 'F -4 2 3'
_cell_length_a 10.4824
_cell_length_b 10.4824
_cell_length_c 10.4824
_cell_angle_alpha 90.00
_cell_angle_beta 90.00
_cell_angle_gamma 90.00
loop_
_atom_site_label
_atom_site_type_symbol
_atom_site_fract_x
_atom_site_fract_y
_atom_site_fract_z
Cs1 Cs 0.0000 0.0000 0.0000
Mg1 Mg 0.0000 0.0000 0.5000
As1 As 0.2500 0.2500 0.2500
H1 H 0.0000 0.0000 0.3095
O1 O 0.1552 0.1552 0.1552
```

The 10 most intense peaks (5° ≤ 2θ ≤ 70°), in order of falling intensity:
- 24.01 deg, 3.706 Å, rel. 100, hkl 2 2 0
- 14.64 deg, 6.052 Å, rel. 97, hkl 1 1 1
- 42.24 deg, 2.140 Å, rel. 38, hkl 4 2 2
- 37.39 deg, 2.405 Å, rel. 28, hkl 3 3 1
- 28.24 deg, 3.161 Å, rel. 26, hkl 3 1 1
- 66.78 deg, 1.401 Å, rel. 23, hkl 6 4 2
- 49.17 deg, 1.853 Å, rel. 17, hkl 4 4 0
- 55.44 deg, 1.657 Å, rel. 16, hkl 6 2 0
- 51.58 deg, 1.772 Å, rel. 14, hkl 5 3 1
- 34.22 deg, 2.621 Å, rel. 12, hkl 4 0 0

***

3.
The following is a calculated powder X-ray diffraction pattern of CuAu2Se. It was derived from a GGA-PBE-relaxed structure, using a wavelength of 1.5418 Å.
No peak broadening, texture or thermal motion is included.

```
data_CuAu2Se
_space_group_name_H-M_alt 'R 3 m'
_space_group_IT_number 160
_space_group_name_Hall 'R 3 -2"'
_cell_length_a 3.3834
_cell_length_b 3.3834
_cell_length_c 22.1689
_cell_angle_alpha 90.00
_cell_angle_beta 90.00
_cell_angle_gamma 120.00
loop_
_atom_site_label
_atom_site_type_symbol
_atom_site_fract_x
_atom_site_fract_y
_atom_site_fract_z
Cu1 Cu 0.0000 0.0000 0.0000
Au1 Au 0.0000 0.0000 0.5041
Au2 Au 0.0000 0.0000 0.7465
Se1 Se 0.0000 0.0000 0.2646
```

The 10 most intense peaks (5° ≤ 2θ ≤ 70°), in order of falling intensity:
- 34.63 deg, 2.590 Å, rel. 100, hkl 1 0 4
- 45.03 deg, 2.013 Å, rel. 45, hkl 0 1 8
- 54.22 deg, 1.692 Å, rel. 28, hkl 1 1 0
- 11.98 deg, 7.390 Å, rel. 25, hkl 0 0 3
- 36.77 deg, 2.445 Å, rel. 17, hkl 0 1 5
- 30.78 deg, 2.905 Å, rel. 16, hkl 1 0 1
- 65.95 deg, 1.416 Å, rel. 15, hkl 0 2 4
- 49.33 deg, 1.847 Å, rel. 10, hkl 0 0 12
- 67.13 deg, 1.394 Å, rel. 9, hkl 1 1 9
- 36.48 deg, 2.463 Å, rel. 8, hkl 0 0 9

***

4.
The following is a calculated powder X-ray diffraction pattern of PuUSe2. It was derived from a GGA-PBE-relaxed structure, using a wavelength of 1.5418 Å.
No peak broadening, texture or thermal motion is included.

```
data_PuUSe2
_space_group_name_H-M_alt 'P m m a'
_space_group_IT_number 51
_cell_length_a 6.8943
_cell_length_b 4.1461
_cell_length_c 7.1984
_cell_angle_alpha 90.00
_cell_angle_beta 90.00
_cell_angle_gamma 90.00
loop_
_space_group_symop_operation_xyz
'x,y,z'
'-x,-y,-z'
'-x+1/2,-y,z'
'x+1/2,y,-z'
'x+1/2,-y,-z'
'-x+1/2,y,z'
'-x,y,-z'
'x,-y,z'
loop_
_atom_site_label
_atom_site_type_symbol
_atom_site_fract_x
_atom_site_fract_y
_atom_site_fract_z
Pu1 Pu 0.0000 0.0000 0.0000
U1 U 0.0000 0.5000 0.5000
Se1 Se 0.2500 0.0000 0.3372
Se2 Se 0.2500 0.5000 0.8291
```

The 10 most intense peaks (5° ≤ 2θ ≤ 70°), in order of falling intensity:
- 36.10 deg, 2.488 Å, rel. 100, hkl 2 1 1
- 24.77 deg, 3.595 Å, rel. 64, hkl 0 1 1
- 43.61 deg, 2.076 Å, rel. 39, hkl 0 2 0
- 57.85 deg, 1.594 Å, rel. 26, hkl 2 2 2
- 27.99 deg, 3.188 Å, rel. 13, hkl 1 1 1
- 59.48 deg, 1.554 Å, rel. 12, hkl 4 1 1
- 51.39 deg, 1.778 Å, rel. 12, hkl 2 1 3
- 25.85 deg, 3.447 Å, rel. 12, hkl 2 0 0
- 50.79 deg, 1.797 Å, rel. 10, hkl 0 0 4
- 53.14 deg, 1.724 Å, rel. 7, hkl 4 0 0

***

5.
The following is a calculated powder X-ray diffraction pattern of Cu2H3Pd8. It was derived from a GGA-PBE-relaxed structure, using a wavelength of 1.5418 Å.
No peak broadening, texture or thermal motion is included.

```
data_Cu2H3Pd8
_space_group_name_H-M_alt 'P -1'
_space_group_IT_number 2
_cell_length_a 2.8080
_cell_length_b 5.0275
_cell_length_c 11.4120
_cell_angle_alpha 99.33
_cell_angle_beta 92.18
_cell_angle_gamma 94.84
loop_
_space_group_symop_operation_xyz
'x,y,z'
'-x,-y,-z'
loop_
_atom_site_label
_atom_site_type_symbol
_atom_site_fract_x
_atom_site_fract_y
_atom_site_fract_z
Cu1 Cu 0.2197 0.3436 0.2967
H1 H 0.0000 0.0000 0.5000
H2 H 0.2966 0.6679 0.1861
Pd1 Pd 0.2212 0.1616 0.6937
Pd2 Pd 0.2497 0.5574 0.8969
Pd3 Pd 0.2518 0.9548 0.1024
Pd4 Pd 0.3053 0.7323 0.5117
```

The 10 most intense peaks (5° ≤ 2θ ≤ 70°), in order of falling intensity:
- 38.60 deg, 2.333 Å, rel. 100, hkl 0 2 1
- 39.84 deg, 2.263 Å, rel. 92, hkl 1 1 -2
- 38.42 deg, 2.343 Å, rel. 92, hkl 1 -1 2
- 40.09 deg, 2.249 Å, rel. 87, hkl 0 0 5
- 43.87 deg, 2.064 Å, rel. 69, hkl -1 1 3
- 44.63 deg, 2.030 Å, rel. 62, hkl 0 2 -4
- 48.29 deg, 1.885 Å, rel. 50, hkl 1 1 3
- 62.31 deg, 1.490 Å, rel. 20, hkl 1 -3 1
- 66.40 deg, 1.408 Å, rel. 19, hkl 1 1 -7
- 67.57 deg, 1.386 Å, rel. 18, hkl 0 2 6